(1)
# MnTlCl4
Theoretical X-ray diffraction stick pattern, copper Kα. Input: a crystal structure in Alexandria, relaxed with GGA-PBE.
No peak broadening, texture or thermal motion is included.

Most intense lines, 2θ from 15° to 90°, low angle first:
3.965 Å, I = 100; 3.869 Å, I = 36; 3.264 Å, I = 52; 3.008 Å, I = 47; 2.965 Å, I = 46; 2.308 Å, I = 32; 2.252 Å, I = 42; 1.995 Å, I = 45; 1.982 Å, I = 17; 1.612 Å, I = 38

Crystal structure
Cell: 6.5287 6.5287 7.7385 Å, 90.00 90.00 90.00°
Atoms (fractional coordinates):
Mn 0.0000 0.0000 0.0000
Mn 0.5000 0.5000 0.0000
Tl 0.0000 0.5000 0.5000
Tl 0.5000 0.0000 0.5000
Cl 0.0000 0.0000 0.3010
Cl 0.0000 0.0000 0.6990
Cl 0.1807 0.3193 0.0000
Cl 0.3193 0.8193 0.0000
Cl 0.5000 0.5000 0.3010
Cl 0.5000 0.5000 0.6990
Cl 0.6807 0.1807 0.0000
Cl 0.8193 0.6807 0.0000

---

(2)
# SrNpHgO6
Theoretical X-ray diffraction stick pattern, copper Kα. Input: a crystal structure in Alexandria, relaxed with GGA-PBE.
No peak broadening, texture or thermal motion is included.

Most intense lines, 2θ from 15° to 90°, low angle first:
5.403 Å, I = 58; 4.929 Å, I = 20; 3.642 Å, I = 100; 2.846 Å, I = 63; 2.702 Å, I = 15; 2.518 Å, I = 48; 2.242 Å, I = 27; 1.959 Å, I = 62; 1.761 Å, I = 26; 1.643 Å, I = 19

Crystal structure
Cell: 5.6920 5.6920 10.8064 Å, 90.00 90.00 120.00°
Atoms (fractional coordinates):
Sr 0.0000 0.0000 0.0000
Sr 0.0000 0.0000 0.5000
Np 0.3333 0.6667 0.2500
Np 0.6667 0.3333 0.7500
Hg 0.3333 0.6667 0.7500
Hg 0.6667 0.3333 0.2500
O 0.0430 0.3790 0.1409
O 0.0430 0.6640 0.3591
O 0.3360 0.3790 0.3591
O 0.3360 0.9570 0.1409
O 0.3790 0.0430 0.6409
O 0.3790 0.3360 0.8591
O 0.6210 0.6640 0.1409
O 0.6210 0.9570 0.3591
O 0.6640 0.0430 0.8591
O 0.6640 0.6210 0.6409
O 0.9570 0.3360 0.6409
O 0.9570 0.6210 0.8591

---

(3)
# NaTl9In4
Theoretical X-ray diffraction stick pattern, copper Kα. Input: a crystal structure in Alexandria, relaxed with GGA-PBE.
No peak broadening, texture or thermal motion is included.

Most intense lines, 2θ from 15° to 90°, low angle first:
3.247 Å, I = 46; 3.048 Å, I = 24; 2.899 Å, I = 21; 2.779 Å, I = 54; 2.727 Å, I = 100; 2.606 Å, I = 35; 2.511 Å, I = 30; 1.701 Å, I = 32; 1.639 Å, I = 31; 1.620 Å, I = 28

Crystal structure
Cell: 10.0437 10.0437 9.7626 Å, 90.00 90.00 120.00°
Atoms (fractional coordinates):
Na 0.3333 0.6667 0.2500
Na 0.6667 0.3333 0.7500
Tl 0.0705 0.5353 0.7500
Tl 0.1979 0.3958 0.0442
Tl 0.1979 0.3958 0.4558
Tl 0.1979 0.8021 0.0442
Tl 0.1979 0.8021 0.4558
Tl 0.3958 0.1979 0.5442
Tl 0.3958 0.1979 0.9558
Tl 0.4647 0.5353 0.7500
Tl 0.4647 0.9295 0.7500
Tl 0.5353 0.0705 0.2500
Tl 0.5353 0.4647 0.2500
Tl 0.6042 0.8021 0.0442
Tl 0.6042 0.8021 0.4558
Tl 0.8021 0.1979 0.5442
Tl 0.8021 0.1979 0.9558
Tl 0.8021 0.6042 0.5442
Tl 0.8021 0.6042 0.9558
Tl 0.9295 0.4647 0.2500
In 0.0000 0.0000 0.0000
In 0.0000 0.0000 0.5000
In 0.1135 0.2270 0.7500
In 0.1135 0.8865 0.7500
In 0.2270 0.1135 0.2500
In 0.7730 0.8865 0.7500
In 0.8865 0.1135 0.2500
In 0.8865 0.7730 0.2500

---

(4)
# K2YGaI6
Theoretical X-ray diffraction stick pattern, copper Kα. Input: a crystal structure in Alexandria, relaxed with GGA-PBE.
No peak broadening, texture or thermal motion is included.

Most intense lines, 2θ from 15° to 90°, low angle first:
3.683 Å, I = 100; 3.632 Å, I = 18; 3.504 Å, I = 12; 3.061 Å, I = 35; 2.770 Å, I = 59; 2.467 Å, I = 25; 2.354 Å, I = 12; 2.107 Å, I = 21; 2.043 Å, I = 20; 1.621 Å, I = 12

Crystal structure
Cell: 8.7813 8.7813 8.7813 Å, 58.23 58.23 58.23°
Atoms (fractional coordinates):
K 0.0000 0.0000 0.0000
K 0.4915 0.4915 0.4915
Y 0.7006 0.7006 0.7006
Ga 0.2061 0.2061 0.2061
I 0.0394 0.4582 0.8383
I 0.3558 0.9254 0.5681
I 0.4582 0.8383 0.0394
I 0.5681 0.3558 0.9254
I 0.8383 0.0394 0.4582
I 0.9254 0.5681 0.3558

---

(5)
# NaGe2Au2
Theoretical X-ray diffraction stick pattern, copper Kα. Input: a crystal structure in Alexandria, relaxed with GGA-PBE.
No peak broadening, texture or thermal motion is included.

Most intense lines, 2θ from 15° to 90°, low angle first:
4.904 Å, I = 100; 4.248 Å, I = 72; 4.208 Å, I = 55; 3.168 Å, I = 74; 2.775 Å, I = 49; 2.735 Å, I = 71; 2.329 Å, I = 85; 2.121 Å, I = 57; 1.989 Å, I = 82; 1.960 Å, I = 57

Crystal structure
Cell: 4.7642 4.6580 9.8104 Å, 90.00 91.27 90.00°
Atoms (fractional coordinates):
Na 0.2386 0.2500 0.2452
Na 0.7614 0.7500 0.7548
Ge 0.1797 0.2500 0.6085
Ge 0.2944 0.7500 0.0015
Ge 0.7056 0.2500 0.9985
Ge 0.8203 0.7500 0.3915
Au 0.1912 0.2500 0.8690
Au 0.3185 0.7500 0.5109
Au 0.6815 0.2500 0.4891
Au 0.8088 0.7500 0.1310

---

(6)
# Tb8TlTc2
Theoretical X-ray diffraction stick pattern, copper Kα. Input: a crystal structure in Alexandria, relaxed with GGA-PBE.
No peak broadening, texture or thermal motion is included.

Most intense lines, 2θ from 15° to 90°, low angle first:
3.182 Å, I = 20; 2.905 Å, I = 69; 2.871 Å, I = 53; 2.737 Å, I = 46; 2.696 Å, I = 75; 2.648 Å, I = 18; 2.557 Å, I = 100; 2.249 Å, I = 16; 1.528 Å, I = 21; 1.511 Å, I = 19

Crystal structure
Cell: 9.0767 9.0767 6.9455 Å, 112.46 112.46 34.55°
Atoms (fractional coordinates):
Tb 0.0000 0.0000 0.0000
Tb 0.1703 0.1703 0.5249
Tb 0.2106 0.2106 0.0982
Tb 0.3908 0.3908 0.6089
Tb 0.5006 0.5006 0.2681
Tb 0.6095 0.6095 0.8285
Tb 0.7899 0.7899 0.6779
Tb 0.8304 0.8304 0.1851
Tl 0.0003 0.0003 0.5639
Tc 0.3366 0.3366 0.9198
Tc 0.6646 0.6646 0.2480